Simulated powder diffraction line list
Compound: Pr2Pu2Se7
Radiation: Cu Kα (λ = 1.5418 Å)
Structure: a crystal structure in Alexandria, relaxed with GGA-PBE
Intensities are scaled so that the largest is 100.

Top 12 peaks for 2θ from 10° to 90°, most intense first:
(hkl)  2theta  I/Imax
2 0 0  36.71  100
1 0 2  22.24  81
2 1 2  43.34  41
3 1 4  66.11  33
3 0 2  58.06  17
2 2 0  52.93  12
4 2 0  89.59  11
3 2 2  70.73  10
4 1 2  82.44  9
1 0 3  26.52  7
1 1 5  41.74  7
2 2 8  78.03  6

Structural model:
```
data_Pr2Pu2Se7
_chemical_formula_sum 'Pr2 Pu2 Se7'
_cell_length_a 4.892
_cell_length_b 4.892
_cell_length_c 13.873
_cell_angle_alpha 90.00
_cell_angle_beta 90.00
_cell_angle_gamma 90.00
_space_group_name_H-M_alt 'P -4 m 2'
_space_group_IT_number 115
loop_
_space_group_symop_operation_xyz
'x,y,z'
'y,-x,-z'
'-x,-y,z'
'-y,x,-z'
'-x,y,z'
'-y,-x,-z'
'x,-y,z'
'y,x,-z'
loop_
_atom_site_label
_atom_site_fract_x
_atom_site_fract_y
_atom_site_fract_z
Pr1 0.000 0.500 0.141
Pu1 0.000 0.500 0.620
Se1 0.000 0.000 0.249
Se2 0.000 0.000 0.500
Se3 0.500 0.500 0.000
Se4 0.500 0.500 0.265
Se5 0.500 0.500 0.500
```